Entry 1:
The following is a calculated powder diffraction line list of NbBi4BrO8. It was derived from a crystal structure in OQMD, relaxed with GGA-PBE, using Cu Kα.

Peak list (10 most intense, 15° ≤ 2θ ≤ 90°, in order of rising 2θ)
23.49°, I 11, (2 1 1); 29.36°, I 100, (6 1 1); 32.11°, I 18, (0 2 0); 32.40°, I 20, (0 0 2); 33.73°, I 11, (8 1 1); 37.36°, I 9, (12 0 0); 46.26°, I 19, (0 2 2); 55.56°, I 16, (6 3 1); 55.93°, I 17, (6 1 3); 56.08°, I 12, (16 1 1)

Crystal structure
Unit cell a=28.881 b=5.575 c=5.527 alpha=90.00 beta=90.00 gamma=90.00
Fractional positions:
Nb 0.250 0.246 0.000
Nb 0.250 0.746 0.500
Nb 0.750 0.254 0.000
Nb 0.750 0.754 0.500
Bi 0.069 0.255 0.989
Bi 0.069 0.756 0.506
Bi 0.158 0.299 0.482
Bi 0.158 0.798 0.016
Bi 0.342 0.298 0.516
Bi 0.342 0.799 0.982
Bi 0.431 0.256 0.006
Bi 0.431 0.755 0.489
Bi 0.569 0.245 0.989
Bi 0.569 0.744 0.506
Bi 0.658 0.201 0.482
Bi 0.658 0.702 0.016
Bi 0.842 0.202 0.516
Bi 0.842 0.701 0.982
Bi 0.931 0.244 0.006
Bi 0.931 0.745 0.489
Br 0.000 0.250 0.497
Br 0.000 0.750 0.997
Br 0.500 0.250 0.497
Br 0.500 0.750 0.997
O 0.105 0.992 0.245
O 0.106 0.492 0.250
O 0.108 0.007 0.748
O 0.108 0.507 0.747
O 0.185 0.177 0.101
O 0.185 0.679 0.398
O 0.233 0.457 0.749
O 0.233 0.956 0.754
O 0.267 0.456 0.254
O 0.267 0.957 0.249
O 0.315 0.179 0.898
O 0.315 0.677 0.601
O 0.392 0.007 0.247
O 0.392 0.507 0.248
O 0.394 0.992 0.750
O 0.395 0.492 0.745
O 0.605 0.508 0.245
O 0.606 0.008 0.250
O 0.608 0.493 0.748
O 0.608 0.993 0.747
O 0.685 0.323 0.101
O 0.685 0.821 0.398
O 0.733 0.043 0.749
O 0.733 0.544 0.754
O 0.767 0.044 0.254
O 0.767 0.543 0.249
O 0.815 0.321 0.898
O 0.815 0.823 0.601
O 0.892 0.493 0.247
O 0.892 0.993 0.248
O 0.894 0.508 0.750
O 0.895 0.008 0.745

Entry 2:
The following is a calculated powder diffraction line list of PrBiBr2O2. It was derived from a crystal structure in OQMD, relaxed with GGA-PBE, using Cu Kα.

Peak list (10 most intense, 15° ≤ 2θ ≤ 90°, in order of rising 2θ)
24.97°, I 19, (1 0 1); 31.54°, I 100, (1 0 2); 31.87°, I 48, (1 1 0); 39.02°, I 12, (1 1 2); 45.69°, I 23, (2 0 0); 50.57°, I 13, (1 0 4); 55.96°, I 15, (1 1 4); 56.58°, I 38, (2 1 2); 70.50°, I 10, (2 1 4); 75.74°, I 9, (3 1 0)

Crystal structure
Unit cell a=3.971 b=3.971 c=8.106 alpha=90.00 beta=90.00 gamma=90.00
Fractional positions:
Pr 0.000 0.000 0.000
Bi 0.500 0.500 0.309
Br 0.000 0.000 0.510
Br 0.500 0.500 0.812
O 0.000 0.500 0.159
O 0.500 0.000 0.159

Entry 3:
The following is a calculated powder diffraction line list of TaBi4BrO8. It was derived from a crystal structure in OQMD, relaxed with GGA-PBE, using Cu Kα.

Peak list (10 most intense, 15° ≤ 2θ ≤ 90°, in order of rising 2θ)
25.90°, I 11, (1 1 4); 29.38°, I 100, (1 1 6); 32.31°, I 18, (0 2 0); 32.53°, I 21, (2 0 0); 37.13°, I 9, (0 0 12); 46.51°, I 18, (2 2 0); 50.19°, I 8, (2 0 12); 55.83°, I 25, (1 3 6); 56.12°, I 17, (3 1 6); 75.66°, I 10, (3 3 6)

Crystal structure
Unit cell a=5.504 b=5.541 c=29.056 alpha=90.00 beta=90.00 gamma=90.00
Fractional positions:
Ta 0.000 0.012 0.250
Ta 0.000 0.988 0.750
Ta 0.500 0.488 0.750
Ta 0.500 0.512 0.250
Bi 0.008 0.008 0.570
Bi 0.008 0.992 0.070
Bi 0.019 0.451 0.342
Bi 0.019 0.549 0.842
Bi 0.481 0.049 0.842
Bi 0.481 0.951 0.342
Bi 0.492 0.492 0.070
Bi 0.492 0.508 0.570
Bi 0.508 0.492 0.430
Bi 0.508 0.508 0.930
Bi 0.519 0.049 0.658
Bi 0.519 0.951 0.158
Bi 0.981 0.451 0.158
Bi 0.981 0.549 0.658
Bi 0.992 0.008 0.930
Bi 0.992 0.992 0.430
Br 0.000 0.500 0.000
Br 0.000 0.500 0.500
Br 0.500 0.000 0.000
Br 0.500 0.000 0.500
O 0.094 0.063 0.315
O 0.094 0.937 0.815
O 0.248 0.289 0.235
O 0.248 0.711 0.735
O 0.249 0.242 0.108
O 0.249 0.758 0.608
O 0.250 0.247 0.894
O 0.250 0.253 0.394
O 0.250 0.747 0.894
O 0.250 0.753 0.394
O 0.251 0.258 0.608
O 0.251 0.742 0.108
O 0.252 0.211 0.735
O 0.252 0.789 0.235
O 0.406 0.437 0.815
O 0.406 0.563 0.315
O 0.594 0.437 0.685
O 0.594 0.563 0.185
O 0.748 0.211 0.765
O 0.748 0.789 0.265
O 0.749 0.258 0.892
O 0.749 0.742 0.392
O 0.750 0.247 0.606
O 0.750 0.253 0.106
O 0.750 0.747 0.606
O 0.750 0.753 0.106
O 0.751 0.242 0.392
O 0.751 0.758 0.892
O 0.752 0.289 0.265
O 0.752 0.711 0.765
O 0.906 0.063 0.185
O 0.906 0.937 0.685

Entry 4:
The following is a calculated powder diffraction line list of Bi14PdBr16. It was derived from a crystal structure in OQMD, relaxed with GGA-PBE, using Cu Kα.

Peak list (10 most intense, 15° ≤ 2θ ≤ 90°, in order of rising 2θ)
15.28°, I 93, (1 0 1); 17.91°, I 74, (1 -2 1); 19.37°, I 85, (-2 1 1); 19.89°, I 68, (2 1 -2); 26.51°, I 69, (2 2 -3); 27.81°, I 66, (2 -2 2); 30.89°, I 74, (2 -3 2); 31.28°, I 75, (-1 2 2); 32.70°, I 76, (-1 3 1); 36.35°, I 100, (4 0 -3)

Crystal structure
Unit cell a=11.016 b=11.170 c=11.267 alpha=118.43 beta=108.57 gamma=91.98
Fractional positions:
Bi 0.006 0.309 0.203
Bi 0.013 0.804 0.592
Bi 0.138 0.436 0.736
Bi 0.168 0.617 0.398
Bi 0.250 0.396 0.495
Bi 0.346 0.896 0.284
Bi 0.381 0.163 0.030
Bi 0.619 0.837 0.970
Bi 0.654 0.104 0.716
Bi 0.750 0.604 0.505
Bi 0.832 0.383 0.602
Bi 0.862 0.564 0.264
Bi 0.987 0.196 0.408
Bi 0.994 0.691 0.797
Pd 0.000 0.500 0.500
Br 0.140 0.176 0.865
Br 0.165 0.641 0.100
Br 0.198 0.973 0.453
Br 0.206 0.013 0.111
Br 0.373 0.885 0.795
Br 0.426 0.423 0.284
Br 0.479 0.713 0.066
Br 0.493 0.807 0.480
Br 0.507 0.193 0.520
Br 0.521 0.287 0.934
Br 0.574 0.577 0.716
Br 0.627 0.115 0.205
Br 0.794 0.987 0.889
Br 0.802 0.027 0.547
Br 0.835 0.359 0.900
Br 0.860 0.824 0.135

Entry 5:
The following is a calculated powder diffraction line list of BiW3Br9. It was derived from a crystal structure in OQMD, relaxed with GGA-PBE, using Cu Kα.

Peak list (10 most intense, 15° ≤ 2θ ≤ 90°, in order of rising 2θ)
16.20°, I 91, (1 2 0); 27.66°, I 69, (3 0 0); 28.01°, I 97, (1 1 -4); 28.75°, I 95, (1 4 -1); 32.94°, I 74, (3 2 1); 39.94°, I 100, (4 1 1); 40.47°, I 74, (3 3 -4); 40.95°, I 62, (4 2 -3); 42.65°, I 87, (2 5 2); 43.76°, I 100, (2 1 5)

Crystal structure
Unit cell a=9.912 b=13.280 c=13.219 alpha=90.00 beta=102.54 gamma=90.00
Fractional positions:
Bi 0.015 0.140 0.097
Bi 0.015 0.360 0.597
Bi 0.985 0.640 0.403
Bi 0.985 0.860 0.903
W 0.358 0.067 0.546
W 0.358 0.433 0.046
W 0.402 0.622 0.996
W 0.402 0.878 0.496
W 0.411 0.026 0.363
W 0.411 0.474 0.863
W 0.589 0.526 0.137
W 0.589 0.974 0.637
W 0.598 0.122 0.504
W 0.598 0.378 0.004
W 0.642 0.567 0.954
W 0.642 0.933 0.454
Br 0.025 0.687 0.215
Br 0.025 0.813 0.715
Br 0.082 0.053 0.888
Br 0.082 0.447 0.388
Br 0.158 0.153 0.617
Br 0.158 0.347 0.117
Br 0.174 0.530 0.905
Br 0.174 0.970 0.405
Br 0.276 0.700 0.500
Br 0.276 0.800 0.000
Br 0.298 0.064 0.165
Br 0.298 0.436 0.665
Br 0.351 0.581 0.180
Br 0.351 0.919 0.680
Br 0.366 0.215 0.414
Br 0.366 0.285 0.914
Br 0.454 0.662 0.812
Br 0.454 0.838 0.312
Br 0.546 0.162 0.688
Br 0.546 0.338 0.188
Br 0.634 0.715 0.086
Br 0.634 0.785 0.586
Br 0.649 0.081 0.320
Br 0.649 0.419 0.820
Br 0.702 0.564 0.335
Br 0.702 0.936 0.835
Br 0.724 0.200 0.000
Br 0.724 0.300 0.500
Br 0.826 0.030 0.595
Br 0.826 0.470 0.095
Br 0.842 0.653 0.883
Br 0.842 0.847 0.383
Br 0.918 0.553 0.612
Br 0.918 0.947 0.112
Br 0.975 0.187 0.285
Br 0.975 0.313 0.785

Entry 6:
The following is a calculated powder diffraction line list of Ta4CdBiC2. It was derived from a crystal structure in OQMD, relaxed with GGA-PBE, using Cu Kα.

Peak list (10 most intense, 15° ≤ 2θ ≤ 90°, in order of rising 2θ)
31.64°, I 24, (1 0 0); 37.09°, I 100, (1 0 3); 38.26°, I 19, (0 0 6); 50.46°, I 15, (1 0 6); 56.35°, I 21, (1 1 0); 66.08°, I 3, (2 0 0); 68.40°, I 17, (1 0 9); 69.40°, I 16, (2 0 3); 70.16°, I 20, (1 1 6); 79.00°, I 4, (2 0 6)

Crystal structure
Unit cell a=3.266 b=3.266 c=14.115 alpha=90.00 beta=90.00 gamma=120.00
Fractional positions:
Ta 0.000 0.000 0.169
Ta 0.000 0.000 0.831
Ta 0.333 0.667 0.329
Ta 0.333 0.667 0.671
Cd 0.000 0.000 0.500
Bi 0.333 0.667 0.000
C 0.667 0.333 0.250
C 0.667 0.333 0.750

Number 1 is which compound?
NbBi4BrO8

Repeat the third record exactly.
The following is a calculated powder diffraction line list of TaBi4BrO8. It was derived from a crystal structure in OQMD, relaxed with GGA-PBE, using Cu Kα.

Peak list (10 most intense, 15° ≤ 2θ ≤ 90°, in order of rising 2θ)
25.90°, I 11, (1 1 4); 29.38°, I 100, (1 1 6); 32.31°, I 18, (0 2 0); 32.53°, I 21, (2 0 0); 37.13°, I 9, (0 0 12); 46.51°, I 18, (2 2 0); 50.19°, I 8, (2 0 12); 55.83°, I 25, (1 3 6); 56.12°, I 17, (3 1 6); 75.66°, I 10, (3 3 6)

Crystal structure
Unit cell a=5.504 b=5.541 c=29.056 alpha=90.00 beta=90.00 gamma=90.00
Fractional positions:
Ta 0.000 0.012 0.250
Ta 0.000 0.988 0.750
Ta 0.500 0.488 0.750
Ta 0.500 0.512 0.250
Bi 0.008 0.008 0.570
Bi 0.008 0.992 0.070
Bi 0.019 0.451 0.342
Bi 0.019 0.549 0.842
Bi 0.481 0.049 0.842
Bi 0.481 0.951 0.342
Bi 0.492 0.492 0.070
Bi 0.492 0.508 0.570
Bi 0.508 0.492 0.430
Bi 0.508 0.508 0.930
Bi 0.519 0.049 0.658
Bi 0.519 0.951 0.158
Bi 0.981 0.451 0.158
Bi 0.981 0.549 0.658
Bi 0.992 0.008 0.930
Bi 0.992 0.992 0.430
Br 0.000 0.500 0.000
Br 0.000 0.500 0.500
Br 0.500 0.000 0.000
Br 0.500 0.000 0.500
O 0.094 0.063 0.315
O 0.094 0.937 0.815
O 0.248 0.289 0.235
O 0.248 0.711 0.735
O 0.249 0.242 0.108
O 0.249 0.758 0.608
O 0.250 0.247 0.894
O 0.250 0.253 0.394
O 0.250 0.747 0.894
O 0.250 0.753 0.394
O 0.251 0.258 0.608
O 0.251 0.742 0.108
O 0.252 0.211 0.735
O 0.252 0.789 0.235
O 0.406 0.437 0.815
O 0.406 0.563 0.315
O 0.594 0.437 0.685
O 0.594 0.563 0.185
O 0.748 0.211 0.765
O 0.748 0.789 0.265
O 0.749 0.258 0.892
O 0.749 0.742 0.392
O 0.750 0.247 0.606
O 0.750 0.253 0.106
O 0.750 0.747 0.606
O 0.750 0.753 0.106
O 0.751 0.242 0.392
O 0.751 0.758 0.892
O 0.752 0.289 0.265
O 0.752 0.711 0.765
O 0.906 0.063 0.185
O 0.906 0.937 0.685